Simulated PXRD pattern
Compound: TiAl4Zn
Radiation: Cu Kα
Structure: a cell relaxed with PBE
Neutral-atom scattering factors, no anomalous dispersion.

Crystal structure
```
data_TiAl4Zn
_chemical_formula_sum 'Ti1 Al4 Zn1'
_cell_length_a 3.4022
_cell_length_b 3.4022
_cell_length_c 8.4063
_cell_angle_alpha 90.00
_cell_angle_beta 90.00
_cell_angle_gamma 90.00
_symmetry_space_group_name_H-M 'P 4/m m m'
_symmetry_Int_Tables_number 123
_symmetry_space_group_name_Hall '-P 4 2'
loop_
_atom_site_label
_atom_site_fract_x
_atom_site_fract_y
_atom_site_fract_z
Ti1 0.0000 0.0000 0.0000
Al1 0.0000 0.0000 0.3358
Al2 0.5000 0.5000 0.1699
Zn1 0.5000 0.5000 0.5000
```

The 10 most intense peaks (2θ from 10° to 80°), most intense first:
| hkl | 2theta | Rel. int. |
| --- | --- | --- |
| 1 0 3 | 41.76 | 100 |
| 1 1 0 | 37.38 | 69 |
| 2 1 3 | 70.42 | 40 |
| 1 0 1 | 28.30 | 24 |
| 2 0 0 | 53.90 | 23 |
| 1 1 6 | 79.10 | 14 |
| 0 0 2 | 21.14 | 12 |
| 1 1 2 | 43.34 | 7 |
| 0 0 1 | 10.52 | 7 |
| 2 2 0 | 79.72 | 7 |

=====

Simulated PXRD pattern
Compound: Ti2Al2Zn
Radiation: Cu Kα
Structure: a cell relaxed with PBE
Neutral-atom scattering factors, no anomalous dispersion.

Crystal structure
```
data_Ti2Al2Zn
_chemical_formula_sum 'Ti8 Al8 Zn4'
_cell_length_a 4.2176
_cell_length_b 13.9453
_cell_length_c 5.4035
_cell_angle_alpha 90.00
_cell_angle_beta 90.00
_cell_angle_gamma 90.00
_symmetry_space_group_name_H-M 'C m c 21'
_symmetry_Int_Tables_number 36
loop_
_symmetry_equiv_pos_as_xyz
'x,y,z'
'-x,-y,z+1/2'
'-x,y,z'
'x,-y,z+1/2'
'x+1/2,y+1/2,z'
'-x+1/2,-y+1/2,z+1/2'
'-x+1/2,y+1/2,z'
'x+1/2,-y+1/2,z+1/2'
loop_
_atom_site_label
_atom_site_fract_x
_atom_site_fract_y
_atom_site_fract_z
Ti1 0.0000 0.0032 0.0000
Ti2 0.0000 0.1943 0.4826
Al1 0.0000 0.1915 0.9798
Al2 0.0000 0.3970 0.7490
Zn1 0.0000 0.3954 0.2422
```

The 10 most intense peaks (2θ from 10° to 80°), most intense first:
| hkl | 2theta | Rel. int. |
| --- | --- | --- |
| 1 5 0 | 38.71 | 100 |
| 1 1 2 | 40.16 | 86 |
| 2 0 0 | 42.89 | 38 |
| 0 4 2 | 42.32 | 36 |
| 0 0 4 | 69.55 | 24 |
| 2 4 2 | 61.83 | 21 |
| 0 6 2 | 51.89 | 21 |
| 0 2 1 | 20.80 | 20 |
| 1 3 1 | 33.13 | 13 |
| 3 5 0 | 75.77 | 12 |

=====

Simulated PXRD pattern
Compound: ZrTiAl
Radiation: Cu Kα
Structure: a cell relaxed with PBE
Neutral-atom scattering factors, no anomalous dispersion.

Crystal structure
```
data_ZrTiAl
_chemical_formula_sum 'Zr4 Ti4 Al4'
_cell_length_a 3.1410
_cell_length_b 14.8593
_cell_length_c 4.8036
_cell_angle_alpha 90.00
_cell_angle_beta 90.00
_cell_angle_gamma 90.00
_symmetry_space_group_name_H-M 'C m c m'
_symmetry_Int_Tables_number 63
_symmetry_space_group_name_Hall '-C 2c 2'
loop_
_atom_site_label
_atom_site_fract_x
_atom_site_fract_y
_atom_site_fract_z
Zr1 0.0000 0.0675 0.2500
Ti1 0.0000 0.2675 0.7500
Al1 0.0000 0.3863 0.2500
```

The 10 most intense peaks (2θ from 10° to 80°), most intense first:
| hkl | 2theta | Rel. int. |
| --- | --- | --- |
| 1 3 1 | 38.78 | 100 |
| 0 0 2 | 37.44 | 32 |
| 0 2 1 | 22.04 | 26 |
| 0 6 0 | 36.27 | 20 |
| 0 6 1 | 41.00 | 19 |
| 1 3 3 | 68.44 | 17 |
| 0 4 1 | 30.42 | 17 |
| 1 1 0 | 29.06 | 16 |
| 0 6 2 | 53.12 | 12 |
| 1 3 0 | 33.79 | 10 |